Calculated X-ray diffraction stick pattern of PmSiO for Cu Ka, from a PBE-relaxed structure.

Principal peaks in the range 10 to 90 degrees two-theta, by angle:
2θ/deg	intensity
19.51	30
22.41	30
29.71	100
32.12	85
35.77	25
37.50	23
47.38	15
50.51	17
52.79	18
88.70	14

Crystal structure
```
12
Lattice="2.510 -5.538 0.000 2.510 5.538 0.000 0.000 0.000 7.982" Properties=species:S:1:pos:R:3 pbc="T T T"
Pm 2.510 3.783 7.260
Pm 2.510 1.755 3.269
Pm 2.510 -1.755 4.714
Pm 2.510 -3.783 0.722
Si 2.510 4.749 3.002
Si 2.510 0.788 6.993
Si 2.510 -0.788 0.989
Si 2.510 -4.749 4.980
O 1.255 0.090 1.996
O 1.255 -0.090 5.987
O 3.765 0.090 1.996
O 3.765 -0.090 5.987
```

---

Calculated X-ray diffraction stick pattern of SrTcAs2 for Cu Ka, from a PBE-relaxed structure.

Principal peaks in the range 10 to 90 degrees two-theta, by angle:
2θ/deg	intensity
13.77	27
32.14	49
32.85	100
41.39	17
42.12	15
44.35	49
48.81	18
49.20	17
52.39	15
62.80	14

Crystal structure
```
8
Lattice="7.635 0.000 0.000 0.000 3.493 0.000 -1.604 0.000 6.433" Properties=species:S:1:pos:R:3 pbc="T T T"
Sr 0.000 0.000 0.000
Sr 3.817 1.747 0.000
Tc -0.802 1.747 3.216
Tc 3.016 0.000 3.216
As 0.687 0.000 4.358
As 1.527 1.747 2.075
As 4.504 1.747 4.358
As 5.345 0.000 2.075
```

---

Calculated X-ray diffraction stick pattern of NbV2Ge6 for Cu Ka, from a PBE-relaxed structure.

Principal peaks in the range 10 to 90 degrees two-theta, by angle:
2θ/deg	intensity
36.81	21
39.12	59
39.28	100
40.41	54
45.87	33
46.01	67
67.75	31
67.88	18
72.58	16
78.32	15

Crystal structure
```
9
Lattice="2.452 -4.223 0.000 2.452 4.223 0.000 0.000 0.000 6.696" Properties=species:S:1:pos:R:3 pbc="T T T"
Nb 0.000 0.000 0.000
V 1.226 2.111 4.476
V 1.226 -2.111 2.220
Ge 1.244 0.723 2.270
Ge 2.452 1.400 0.000
Ge 1.244 -0.723 4.426
Ge 3.661 0.723 4.426
Ge 2.452 -1.400 0.000
Ge 3.661 -0.723 2.270
```

---

Calculated X-ray diffraction stick pattern of Li3Mg3Cd2 for Cu Ka, from a PBE-relaxed structure.

Principal peaks in the range 10 to 90 degrees two-theta, by angle:
2θ/deg	intensity
13.39	100
25.34	46
26.97	22
28.77	65
35.96	24
36.33	23
37.35	86
38.54	16
48.77	16
52.05	16

Crystal structure
```
16
Lattice="14.128 0.000 0.000 0.000 4.946 0.000 -1.759 0.000 4.674" Properties=species:S:1:pos:R:3 pbc="T T T"
Li 0.000 0.000 0.000
Li 0.761 0.000 2.954
Li 4.545 2.473 1.721
Li 7.064 2.473 0.000
Li 7.825 2.473 2.954
Li 11.609 0.000 1.721
Mg -0.879 2.473 2.337
Mg 1.555 2.473 0.589
Mg 3.750 0.000 4.086
Mg 6.185 0.000 2.337
Mg 8.619 0.000 0.589
Mg 10.814 2.473 4.086
Cd 2.206 2.473 3.503
Cd 3.099 0.000 1.171
Cd 9.271 0.000 3.503
Cd 10.163 2.473 1.171
```